1.
# Cs2SbPtCl6
Computed PXRD pattern, Cu Kα (weighted mean of Kα1 and Kα2). Input: a cell relaxed with PBE.
Intensities are scaled so that the largest is 100.

Atomic structure:
a = 7.4818 Å, b = 7.4818 Å, c = 10.5269 Å
α = 90.00°, β = 90.00°, γ = 90.00°
Space group I4/mmm (No. 139)
Unique sites:
Cs  0.0000  0.5000  0.2500 x4
Sb  0.0000  0.0000  0.0000 x2
Pt  0.0000  0.0000  0.5000 x2
Cl  0.0000  0.0000  0.2582 x4
Cl  0.2427  0.2427  0.5000 x8

Principal peaks in the range 2θ from 5° to 70°, in order of rising 2θ:
two_theta, I/Imax
23.83, 100
33.89, 34
34.07, 17
41.86, 31
41.97, 15
48.68, 12
48.81, 23
54.89, 14
60.75, 12
66.15, 16

---

2.
# Yb4Sb3
Computed PXRD pattern, Cu Kα (weighted mean of Kα1 and Kα2). Input: a cell relaxed with PBE.
Intensities are scaled so that the largest is 100.

Atomic structure:
a = 9.3659 Å, b = 9.3659 Å, c = 9.3659 Å
α = 90.00°, β = 90.00°, γ = 90.00°
Space group I-43d (No. 220)
Unique sites:
Yb  0.0735  0.0735  0.0735 x16
Sb  0.0000  0.2500  0.3750 x12

Principal peaks in the range 2θ from 5° to 70°, in order of rising 2θ:
two_theta, I/Imax
23.26, 7
30.17, 100
35.88, 72
43.20, 9
45.42, 7
47.56, 20
49.63, 24
60.98, 26
62.74, 13
64.48, 15

---

3.
# Ti3H2O7
Computed PXRD pattern, Cu Kα (weighted mean of Kα1 and Kα2). Input: a cell relaxed with PBE.
Intensities are scaled so that the largest is 100.

Atomic structure:
a = 16.1793 Å, b = 3.7819 Å, c = 9.2688 Å
α = 90.00°, β = 101.61°, γ = 90.00°
Space group Cm (No. 8)
Unique sites:
Ti  0.0000  0.0000  0.0000 x2
Ti  0.0433  0.0000  0.6928 x2
Ti  0.1038  0.0000  0.3914 x2
Ti  0.1467  0.5000  0.9631 x2
Ti  0.1992  0.5000  0.6653 x2
Ti  0.2542  0.5000  0.3469 x2
H  0.3290  0.5000  0.9729 x2
H  0.3559  0.5000  0.6467 x2
H  0.3757  0.5000  0.1529 x2
H  0.4191  0.5000  0.3878 x2
O  0.0096  0.0000  0.4927 x2
O  0.0259  0.5000  0.9971 x2
O  0.0452  0.0000  0.2076 x2
O  0.0803  0.5000  0.7221 x2
O  0.1143  0.0000  0.9275 x2
O  0.1377  0.5000  0.4331 x2
O  0.1687  0.0000  0.6379 x2
O  0.2051  0.5000  0.1451 x2
O  0.2250  0.0000  0.3597 x2
O  0.2407  0.5000  0.8630 x2
O  0.2984  0.5000  0.5829 x2
O  0.3626  0.5000  0.3167 x2
O  0.3849  0.5000  0.0461 x2
O  0.4537  0.5000  0.7840 x2

Principal peaks in the range 2θ from 5° to 70°, in order of rising 2θ:
two_theta, I/Imax
11.17, 100
16.26, 25
24.19, 44
29.04, 16
29.52, 23
31.80, 12
35.72, 20
43.63, 15
48.12, 17
57.61, 10

---

4.
# Li2SeS6
Computed PXRD pattern, Cu Kα (weighted mean of Kα1 and Kα2). Input: a cell relaxed with PBE.
Intensities are scaled so that the largest is 100.

Atomic structure:
a = 4.3150 Å, b = 6.7509 Å, c = 8.0534 Å
α = 104.03°, β = 102.00°, γ = 104.53°
Space group P1 (No. 1)
Unique sites:
Li  0.0000  0.0000  0.0000 x1
Li  0.4089  0.8986  0.5280 x1
Se  0.5370  0.0118  0.2498 x1
S  0.5307  0.7370  0.0301 x1
S  0.5977  0.4898  0.5743 x1
S  0.6038  0.2727  0.9351 x1
S  0.7911  0.3070  0.7065 x1
S  0.8039  0.5517  0.1404 x1
S  0.9111  0.8055  0.6619 x1

Principal peaks in the range 2θ from 5° to 70°, in order of rising 2θ:
two_theta, I/Imax
15.45, 31
22.23, 100
23.63, 42
23.77, 23
28.12, 45
31.02, 23
31.34, 21
31.66, 31
34.54, 31
53.87, 20

---

5.
# Mg7SnN6
Computed PXRD pattern, Cu Kα (weighted mean of Kα1 and Kα2). Input: a cell relaxed with PBE.
Intensities are scaled so that the largest is 100.

Atomic structure:
a = 5.6157 Å, b = 10.6548 Å, c = 12.2000 Å
α = 90.00°, β = 90.00°, γ = 90.00°
Space group Ibam (No. 72)
Unique sites:
Mg  0.0000  0.0000  0.2500 x4
Mg  0.0185  0.2520  0.1102 x16
Mg  0.2426  0.0293  0.0000 x8
Sn  0.0000  0.5000  0.2500 x4
N  0.2246  0.1618  0.5000 x8
N  0.2395  0.3897  0.3388 x16

Principal peaks in the range 2θ from 5° to 70°, in order of rising 2θ:
two_theta, I/Imax
17.85, 56
22.15, 72
23.09, 71
33.65, 33
33.87, 100
35.19, 40
39.16, 71
47.02, 38
47.19, 46
49.47, 32

---

6.
# FeTeAs
Computed PXRD pattern, Cu Kα (weighted mean of Kα1 and Kα2). Input: a cell relaxed with PBE.
Intensities are scaled so that the largest is 100.

Atomic structure:
a = 3.4320 Å, b = 5.2755 Å, c = 6.1344 Å
α = 90.00°, β = 90.00°, γ = 90.00°
Space group Pmn2_1 (No. 31)
Unique sites:
Fe  0.0000  0.2325  0.0000 x2
Te  0.0000  0.4415  0.3696 x2
As  0.0000  0.0388  0.6513 x2

Principal peaks in the range 2θ from 5° to 70°, in order of rising 2θ:
two_theta, I/Imax
29.83, 18
31.09, 43
33.80, 80
34.43, 100
37.10, 19
45.84, 49
52.06, 37
52.99, 17
53.39, 20
64.70, 24

---

7.
# Li3B4C4
Computed PXRD pattern, Cu Kα (weighted mean of Kα1 and Kα2). Input: a cell relaxed with PBE.
Intensities are scaled so that the largest is 100.

Atomic structure:
a = 2.7284 Å, b = 14.5567 Å, c = 9.4155 Å
α = 90.00°, β = 90.00°, γ = 90.00°
Space group Amm2 (No. 38)
Unique sites:
Li  0.0000  0.1227  0.0000 x4
Li  0.5000  0.1264  0.7289 x4
Li  0.5000  0.1283  0.2731 x4
B  0.0000  0.0000  0.1697 x2
B  0.0000  0.0000  0.6658 x2
B  0.0000  0.2438  0.8327 x4
B  0.5000  0.0000  0.4215 x2
B  0.5000  0.0000  0.9166 x2
B  0.5000  0.2438  0.0812 x4
C  0.0000  0.0000  0.3358 x2
C  0.0000  0.0000  0.8335 x2
C  0.0000  0.2457  0.1657 x4
C  0.5000  0.0000  0.0846 x2
C  0.5000  0.0000  0.5856 x2
C  0.5000  0.2383  0.9147 x4

Principal peaks in the range 2θ from 5° to 70°, in order of rising 2θ:
two_theta, I/Imax
11.19, 6
20.59, 3
24.46, 100
38.12, 6
38.24, 3
40.16, 2
45.85, 50
50.13, 17
68.82, 6
69.04, 10

---

8.
# HoCdIn
Computed PXRD pattern, Cu Kα (weighted mean of Kα1 and Kα2). Input: a cell relaxed with PBE.
Intensities are scaled so that the largest is 100.

Atomic structure:
a = 4.8618 Å, b = 4.8618 Å, c = 7.4032 Å
α = 90.00°, β = 90.00°, γ = 120.00°
Space group P-3m1 (No. 164)
Unique sites:
Ho  0.0000  0.0000  0.2375 x2
Cd  0.3333  0.6667  0.9751 x2
In  0.3333  0.6667  0.5543 x2

Principal peaks in the range 2θ from 5° to 70°, in order of rising 2θ:
two_theta, I/Imax
24.32, 8
32.20, 100
36.98, 78
42.46, 14
49.23, 5
49.83, 29
57.55, 6
63.14, 15
63.65, 28
66.64, 13

---

9.
# Nb3Pd2Au4
Computed PXRD pattern, Cu Kα (weighted mean of Kα1 and Kα2). Input: a cell relaxed with PBE.
Intensities are scaled so that the largest is 100.

Atomic structure:
a = 8.0140 Å, b = 13.8956 Å, c = 5.5336 Å
α = 90.00°, β = 90.00°, γ = 90.00°
Space group Cccm (No. 66)
Unique sites:
Nb  0.0000  0.0000  0.2500 x4
Nb  0.0000  0.3294  0.2500 x8
Pd  0.1671  0.1676  0.0000 x8
Au  0.1651  0.1663  0.5000 x8
Au  0.1675  0.4984  0.0000 x8

Principal peaks in the range 2θ from 5° to 70°, in order of rising 2θ:
two_theta, I/Imax
20.53, 6
22.17, 11
30.40, 3
32.36, 17
37.93, 3
38.91, 100
39.58, 71
51.47, 29
56.71, 25
67.73, 7

---

10.
# Pr3Ho4
Computed PXRD pattern, Cu Kα (weighted mean of Kα1 and Kα2). Input: a cell relaxed with PBE.
Intensities are scaled so that the largest is 100.

Atomic structure:
a = 3.6138 Å, b = 5.0712 Å, c = 25.3093 Å
α = 90.00°, β = 90.00°, γ = 90.00°
Space group Immm (No. 71)
Unique sites:
Pr  0.0000  0.0000  0.0000 x2
Pr  0.0000  0.0000  0.1432 x4
Ho  0.0000  0.0000  0.2844 x4
Ho  0.0000  0.0000  0.4280 x4

Principal peaks in the range 2θ from 5° to 70°, in order of rising 2θ:
two_theta, I/Imax
30.37, 100
35.11, 34
35.40, 17
50.50, 12
50.71, 24
60.07, 29
60.46, 14
63.18, 12

---

11.
# Na23Hg6
Computed PXRD pattern, Cu Kα (weighted mean of Kα1 and Kα2). Input: a cell relaxed with PBE.
Intensities are scaled so that the largest is 100.

Atomic structure:
a = 15.7593 Å, b = 15.7593 Å, c = 15.7593 Å
α = 90.00°, β = 90.00°, γ = 90.00°
Space group Fm-3m (No. 225)
Unique sites:
Na  0.0000  0.0000  0.0000 x4
Na  0.0000  0.1729  0.1729 x48
Na  0.1168  0.1168  0.3832 x32
Na  0.2500  0.2500  0.2500 x8
Hg  0.0000  0.0000  0.2657 x24

Principal peaks in the range 2θ from 5° to 70°, in order of rising 2θ:
two_theta, I/Imax
11.23, 31
15.91, 29
19.51, 100
22.57, 51
29.45, 16
32.13, 67
34.14, 17
37.87, 71
50.49, 25
57.28, 25

---

12.
# TbPr2Dy3
Computed PXRD pattern, Cu Kα (weighted mean of Kα1 and Kα2). Input: a cell relaxed with PBE.
Intensities are scaled so that the largest is 100.

Atomic structure:
a = 17.1344 Å, b = 5.6064 Å, c = 10.1493 Å
α = 90.00°, β = 124.71°, γ = 90.00°
Space group C2/m (No. 12)
Unique sites:
Tb  0.1338  0.0000  0.1408 x4
Pr  0.0102  0.5000  0.8599 x4
Pr  0.2285  0.0000  0.8706 x4
Dy  0.0498  0.0000  0.3968 x4
Dy  0.1125  0.5000  0.6558 x4
Dy  0.2071  0.5000  0.4250 x4

Principal peaks in the range 2θ from 5° to 70°, in order of rising 2θ:
two_theta, I/Imax
30.76, 20
30.88, 82
31.06, 100
31.32, 34
31.93, 53
43.38, 14
45.33, 26
54.86, 14
56.23, 19
56.35, 21